Computed XRD peak list of Ca4CoN4 for CuKα, from a GGA-PBE-relaxed structure.

Main lines, sorted by position (2θ = 15–90°):
2θ 16.96, intensity 37; 2θ 31.49, intensity 68; 2θ 32.00, intensity 85; 2θ 33.57, intensity 59; 2θ 33.74, intensity 100; 2θ 36.81, intensity 77; 2θ 37.30, intensity 95; 2θ 40.24, intensity 52; 2θ 41.84, intensity 47; 2θ 42.65, intensity 36

Cell and atoms:
abc: 5.937 6.036 8.268
angles: 71.75 81.40 70.63
Fractional coordinates of all 18 atoms:
1 Ca 0.205 0.439 0.350
2 Ca 0.226 0.956 0.126
3 Ca 0.270 0.504 0.933
4 Ca 0.286 0.807 0.532
5 Ca 0.714 0.193 0.468
6 Ca 0.730 0.496 0.067
7 Ca 0.774 0.044 0.874
8 Ca 0.795 0.561 0.650
9 Co 0.268 0.152 0.747
10 Co 0.732 0.848 0.253
11 N 0.019 0.295 0.893
12 N 0.047 0.174 0.599
13 N 0.453 0.360 0.691
14 N 0.486 0.839 0.814
15 N 0.514 0.161 0.186
16 N 0.547 0.640 0.309
17 N 0.953 0.826 0.401
18 N 0.981 0.705 0.107